Entry 1:
Starting from a cell relaxed with PBE, the X-ray powder pattern of PaInAu2 was simulated for Cu Ka.
Peak positions follow from Bragg's law for the DFT cell and can differ from measured ones.

Most intense lines, 5° ≤ 2θ ≤ 70°, low angle first:
Position (°2θ), I (rel.)
21.8, 5
25.2, 1
36.0, 100
42.4, 3
51.8, 18
56.8, 1
64.6, 37
69.1, 1

Structure:
a b c (Å): 4.994 4.994 4.994
angles (deg): 60.00 60.00 60.00
Fractional coordinates of all 4 atoms:
1 Pa 0.000 0.000 0.000
2 In 0.500 0.500 0.500
3 Au 0.250 0.250 0.250
4 Au 0.750 0.750 0.750


Entry 2:
Starting from a cell relaxed with PBE, the X-ray powder pattern of Pr2InAu2 was simulated for Cu Ka.
Peak positions follow from Bragg's law for the DFT cell and can differ from measured ones.

Most intense lines, 5° ≤ 2θ ≤ 70°, low angle first:
Position (°2θ), I (rel.)
15.2, 13
31.6, 20
33.5, 100
34.4, 39
39.4, 14
46.0, 11
46.6, 13
59.2, 16
62.2, 12
65.5, 12

Structure:
a b c (Å): 8.243 8.243 3.896
angles (deg): 90.00 90.00 90.00
Fractional coordinates of all 10 atoms:
1 Pr 0.175 0.325 0.000
2 Pr 0.325 0.825 0.000
3 Pr 0.675 0.175 0.000
4 Pr 0.825 0.675 0.000
5 In 0.000 0.000 0.500
6 In 0.500 0.500 0.500
7 Au 0.125 0.625 0.500
8 Au 0.375 0.125 0.500
9 Au 0.625 0.875 0.500
10 Au 0.875 0.375 0.500


Entry 3:
Starting from a cell relaxed with PBE, the X-ray powder pattern of PrInAu was simulated for Cu Ka.
Peak positions follow from Bragg's law for the DFT cell and can differ from measured ones.

Most intense lines, 5° ≤ 2θ ≤ 70°, low angle first:
Position (°2θ), I (rel.)
22.7, 19
30.9, 65
33.7, 100
35.0, 31
39.9, 38
41.0, 42
42.2, 27
55.9, 16
59.4, 25
63.6, 30

Structure:
a b c (Å): 7.832 7.832 4.286
angles (deg): 90.00 90.00 120.00
Fractional coordinates of all 9 atoms:
1 Pr 0.000 0.414 0.000
2 Pr 0.414 0.000 0.000
3 Pr 0.586 0.586 0.000
4 In 0.000 0.751 0.500
5 In 0.249 0.249 0.500
6 In 0.751 0.000 0.500
7 Au 0.000 0.000 0.000
8 Au 0.333 0.667 0.500
9 Au 0.667 0.333 0.500


Entry 4:
Starting from a cell relaxed with PBE, the X-ray powder pattern of PuInAu2 was simulated for Cu Ka.
Peak positions follow from Bragg's law for the DFT cell and can differ from measured ones.

Most intense lines, 5° ≤ 2θ ≤ 70°, low angle first:
Position (°2θ), I (rel.)
21.8, 5
35.9, 100
42.4, 3
51.7, 18
56.8, 1
64.6, 37
69.1, 1

Structure:
a b c (Å): 4.997 4.997 4.997
angles (deg): 60.00 60.00 60.00
Fractional coordinates of all 4 atoms:
1 Pu 0.000 0.000 0.000
2 In 0.500 0.500 0.500
3 Au 0.250 0.250 0.250
4 Au 0.750 0.750 0.750


Entry 5:
Starting from a cell relaxed with PBE, the X-ray powder pattern of RbIn6Au4 was simulated for Cu Ka.
Peak positions follow from Bragg's law for the DFT cell and can differ from measured ones.

Most intense lines, 5° ≤ 2θ ≤ 70°, low angle first:
Position (°2θ), I (rel.)
12.3, 37
29.1, 32
31.7, 80
32.9, 48
38.5, 100
39.6, 39
42.6, 42
43.5, 29
52.4, 26
68.3, 27

Structure:
a b c (Å): 8.314 8.314 4.553
angles (deg): 90.00 90.00 120.00
Fractional coordinates of all 11 atoms:
1 Rb 0.000 0.000 0.000
2 In 0.198 0.396 0.500
3 In 0.198 0.802 0.500
4 In 0.535 0.069 0.000
5 In 0.535 0.465 0.000
6 In 0.604 0.802 0.500
7 In 0.931 0.465 0.000
8 Au 0.333 0.667 0.000
9 Au 0.412 0.206 0.500
10 Au 0.794 0.206 0.500
11 Au 0.794 0.588 0.500


Entry 6:
Starting from a cell relaxed with PBE, the X-ray powder pattern of RbIn2Au4 was simulated for Cu Ka.
Peak positions follow from Bragg's law for the DFT cell and can differ from measured ones.

Most intense lines, 5° ≤ 2θ ≤ 70°, low angle first:
Position (°2θ), I (rel.)
13.8, 35
19.6, 11
24.4, 9
31.2, 63
39.0, 100
39.8, 21
42.3, 22
52.9, 16
61.4, 9
64.5, 34

Structure:
a b c (Å): 7.672 7.672 7.672
angles (deg): 107.59 107.59 113.30
Fractional coordinates of all 14 atoms:
1 Rb 0.250 0.250 0.000
2 Rb 0.750 0.750 0.000
3 In 0.141 0.641 0.783
4 In 0.359 0.141 0.500
5 In 0.641 0.859 0.500
6 In 0.859 0.359 0.217
7 Au 0.013 0.817 0.500
8 Au 0.183 0.683 0.195
9 Au 0.317 0.513 0.500
10 Au 0.487 0.987 0.805
11 Au 0.513 0.013 0.195
12 Au 0.683 0.487 0.500
13 Au 0.817 0.317 0.805
14 Au 0.987 0.183 0.500


Entry 7:
Starting from a cell relaxed with PBE, the X-ray powder pattern of Sc2InAu2 was simulated for Cu Ka.
Peak positions follow from Bragg's law for the DFT cell and can differ from measured ones.

Most intense lines, 5° ≤ 2θ ≤ 70°, low angle first:
Position (°2θ), I (rel.)
16.2, 8
25.8, 60
36.7, 100
42.1, 13
45.4, 23
47.0, 7
50.0, 15
52.9, 9
66.2, 10
67.4, 7

Structure:
a b c (Å): 7.738 7.738 6.916
angles (deg): 90.00 90.00 90.00
Fractional coordinates of all 20 atoms:
1 Sc 0.155 0.155 0.000
2 Sc 0.180 0.180 0.500
3 Sc 0.320 0.680 0.000
4 Sc 0.345 0.655 0.500
5 Sc 0.655 0.345 0.500
6 Sc 0.680 0.320 0.000
7 Sc 0.820 0.820 0.500
8 Sc 0.845 0.845 0.000
9 In 0.000 0.500 0.250
10 In 0.000 0.500 0.750
11 In 0.500 0.000 0.250
12 In 0.500 0.000 0.750
13 Au 0.131 0.869 0.275
14 Au 0.131 0.869 0.725
15 Au 0.369 0.369 0.225
16 Au 0.369 0.369 0.775
17 Au 0.631 0.631 0.225
18 Au 0.631 0.631 0.775
19 Au 0.869 0.131 0.275
20 Au 0.869 0.131 0.725


Entry 8:
Starting from a cell relaxed with PBE, the X-ray powder pattern of In3Sn3Au4 was simulated for Cu Ka.
Peak positions follow from Bragg's law for the DFT cell and can differ from measured ones.

Most intense lines, 5° ≤ 2θ ≤ 70°, low angle first:
Position (°2θ), I (rel.)
21.4, 41
22.5, 38
25.6, 24
28.1, 29
35.5, 46
35.6, 26
37.5, 50
37.6, 100
41.5, 31
47.4, 28

Structure:
a b c (Å): 4.785 4.785 12.721
angles (deg): 90.38 90.38 60.23
Fractional coordinates of all 10 atoms:
1 In 0.000 0.000 0.000
2 In 0.000 0.000 0.322
3 In 0.335 0.335 0.830
4 Sn 0.334 0.334 0.501
5 Sn 0.667 0.667 0.666
6 Sn 0.668 0.668 0.162
7 Au 0.000 0.000 0.549
8 Au 0.001 0.001 0.774
9 Au 0.334 0.334 0.277
10 Au 0.335 0.335 0.054


Entry 9:
Starting from a cell relaxed with PBE, the X-ray powder pattern of SrIn2Au2 was simulated for Cu Ka.
Peak positions follow from Bragg's law for the DFT cell and can differ from measured ones.

Most intense lines, 5° ≤ 2θ ≤ 70°, low angle first:
Position (°2θ), I (rel.)
23.7, 40
28.7, 35
30.4, 100
36.0, 24
37.1, 47
37.9, 91
39.2, 24
40.3, 27
40.9, 34
42.5, 22

Structure:
a b c (Å): 8.690 4.751 12.475
angles (deg): 90.00 90.00 90.00
Fractional coordinates of all 20 atoms:
1 Sr 0.211 0.250 0.168
2 Sr 0.289 0.750 0.668
3 Sr 0.711 0.250 0.332
4 Sr 0.789 0.750 0.832
5 In 0.094 0.250 0.447
6 In 0.154 0.250 0.861
7 In 0.346 0.750 0.361
8 In 0.406 0.750 0.947
9 In 0.594 0.250 0.053
10 In 0.654 0.250 0.639
11 In 0.846 0.750 0.139
12 In 0.906 0.750 0.553
13 Au 0.010 0.750 0.331
14 Au 0.093 0.750 0.984
15 Au 0.407 0.250 0.484
16 Au 0.490 0.250 0.831
17 Au 0.510 0.750 0.169
18 Au 0.593 0.750 0.516
19 Au 0.907 0.250 0.016
20 Au 0.990 0.250 0.669


Entry 10:
Starting from a cell relaxed with PBE, the X-ray powder pattern of Sr2In4Au3 was simulated for Cu Ka.
Peak positions follow from Bragg's law for the DFT cell and can differ from measured ones.

Most intense lines, 5° ≤ 2θ ≤ 70°, low angle first:
Position (°2θ), I (rel.)
20.4, 27
23.1, 43
30.3, 78
31.0, 56
36.6, 44
39.1, 100
40.7, 64
42.6, 23
45.9, 37
57.7, 47

Structure:
a b c (Å): 15.369 15.369 4.611
angles (deg): 90.00 90.00 120.00
Fractional coordinates of all 36 atoms:
1 Sr 0.000 0.451 0.000
2 Sr 0.000 0.819 0.500
3 Sr 0.181 0.181 0.500
4 Sr 0.333 0.667 0.000
5 Sr 0.451 0.000 0.000
6 Sr 0.549 0.549 0.000
7 Sr 0.667 0.333 0.000
8 Sr 0.819 0.000 0.500
9 In 0.000 0.000 0.000
10 In 0.000 0.280 0.500
11 In 0.123 0.649 0.500
12 In 0.184 0.381 0.000
13 In 0.197 0.816 0.000
14 In 0.280 0.000 0.500
15 In 0.351 0.473 0.500
16 In 0.381 0.184 0.000
17 In 0.473 0.351 0.500
18 In 0.527 0.877 0.500
19 In 0.619 0.803 0.000
20 In 0.649 0.123 0.500
21 In 0.720 0.720 0.500
22 In 0.803 0.619 0.000
23 In 0.816 0.197 0.000
24 In 0.877 0.527 0.500
25 Au 0.000 0.177 0.000
26 Au 0.000 0.658 0.000
27 Au 0.173 0.491 0.500
28 Au 0.177 0.000 0.000
29 Au 0.319 0.827 0.500
30 Au 0.342 0.342 0.000
31 Au 0.491 0.173 0.500
32 Au 0.509 0.681 0.500
33 Au 0.658 0.000 0.000
34 Au 0.681 0.509 0.500
35 Au 0.823 0.823 0.000
36 Au 0.827 0.319 0.500


Entry 11:
Starting from a cell relaxed with PBE, the X-ray powder pattern of SrIn3Au3 was simulated for Cu Ka.
Peak positions follow from Bragg's law for the DFT cell and can differ from measured ones.

Most intense lines, 5° ≤ 2θ ≤ 70°, low angle first:
Position (°2θ), I (rel.)
14.7, 14
19.2, 15
24.4, 19
31.1, 100
34.9, 20
38.8, 38
39.1, 25
41.9, 51
43.7, 17
45.7, 14

Structure:
a b c (Å): 4.642 7.949 9.255
angles (deg): 90.00 90.00 90.00
Fractional coordinates of all 14 atoms:
1 Sr 0.250 0.250 0.229
2 Sr 0.750 0.750 0.771
3 In 0.250 0.054 0.615
4 In 0.250 0.446 0.615
5 In 0.250 0.750 0.134
6 In 0.750 0.250 0.866
7 In 0.750 0.554 0.385
8 In 0.750 0.946 0.385
9 Au 0.250 0.023 0.912
10 Au 0.250 0.477 0.912
11 Au 0.250 0.750 0.456
12 Au 0.750 0.250 0.544
13 Au 0.750 0.523 0.088
14 Au 0.750 0.977 0.088


Entry 12:
Starting from a cell relaxed with PBE, the X-ray powder pattern of SrInAu5 was simulated for Cu Ka.
Peak positions follow from Bragg's law for the DFT cell and can differ from measured ones.

Most intense lines, 5° ≤ 2θ ≤ 70°, low angle first:
Position (°2θ), I (rel.)
20.0, 34
31.6, 54
34.4, 85
36.7, 48
38.7, 36
40.2, 92
40.7, 100
47.4, 38
62.8, 25
63.1, 40

Structure:
a b c (Å): 5.903 5.903 5.903
angles (deg): 102.80 102.80 123.85
Fractional coordinates of all 7 atoms:
1 Sr 0.000 0.000 0.000
2 In 0.250 0.750 0.500
3 Au 0.306 0.306 0.612
4 Au 0.306 0.694 0.000
5 Au 0.694 0.306 0.000
6 Au 0.694 0.694 0.388
7 Au 0.750 0.250 0.500